# BiAsI
Computed powder XRD pattern, Cu Kα X-rays. Input: a DFT-relaxed cell (PBE, Alexandria).
No peak broadening, texture or thermal motion is included.

Atomic structure:
a = 4.2136 Å, b = 7.7263 Å, c = 12.5766 Å
α = 90.00°, β = 90.00°, γ = 90.00°
Sites, in units of the cell vectors:
Bi: 0.0049 0.0777 0.3751
Bi: 0.4951 0.9223 0.8751
Bi: 0.5049 0.4223 0.6249
Bi: 0.9951 0.5777 0.1249
As: 0.0048 0.4113 0.4718
As: 0.4952 0.5887 0.9718
As: 0.5048 0.0887 0.5282
As: 0.9952 0.9113 0.0282
I: 0.0027 0.3040 0.8324
I: 0.4973 0.6960 0.3324
I: 0.5027 0.1960 0.1676
I: 0.9973 0.8040 0.6676

The 12 most intense peaks (2θ from 10° to 90°), by angle:
| two_theta | d (Å) | I (rel.) |
| --- | --- | --- |
| 18.19 | 4.877 | 36 |
| 24.11 | 3.691 | 50 |
| 25.09 | 3.549 | 16 |
| 27.98 | 3.188 | 80 |
| 28.39 | 3.144 | 18 |
| 30.07 | 2.972 | 26 |
| 32.26 | 2.775 | 100 |
| 35.58 | 2.523 | 30 |
| 42.90 | 2.108 | 60 |
| 43.63 | 2.074 | 17 |
| 56.93 | 1.617 | 17 |
| 60.38 | 1.533 | 21 |


# Na7I2O5
Computed powder XRD pattern, Cu Kα X-rays. Input: a DFT-relaxed cell (PBE, Alexandria).
No peak broadening, texture or thermal motion is included.

Atomic structure:
a = 7.7584 Å, b = 7.7584 Å, c = 10.4602 Å
α = 90.00°, β = 90.00°, γ = 90.00°
Sites, in units of the cell vectors:
Na: 0.0000 0.0000 0.0000
Na: 0.0000 0.5000 0.0000
Na: 0.0378 0.0378 0.3002
Na: 0.0378 0.4622 0.3002
Na: 0.2500 0.2500 0.0791
Na: 0.4622 0.0378 0.3002
Na: 0.4622 0.4622 0.3002
Na: 0.5000 0.0000 0.0000
Na: 0.5000 0.5000 0.0000
Na: 0.5378 0.5378 0.6998
Na: 0.5378 0.9622 0.6998
Na: 0.7500 0.7500 0.9209
Na: 0.9622 0.5378 0.6998
Na: 0.9622 0.9622 0.6998
I: 0.2500 0.2500 0.7818
I: 0.2500 0.7500 0.5000
I: 0.7500 0.2500 0.5000
I: 0.7500 0.7500 0.2182
O: 0.0243 0.7500 0.8588
O: 0.2500 0.2500 0.3023
O: 0.2500 0.5243 0.1412
O: 0.2500 0.9757 0.1412
O: 0.4757 0.7500 0.8588
O: 0.5243 0.2500 0.1412
O: 0.7500 0.0243 0.8588
O: 0.7500 0.4757 0.8588
O: 0.7500 0.7500 0.6977
O: 0.9757 0.2500 0.1412

The 12 most intense peaks (2θ from 10° to 90°), by angle:
| two_theta | d (Å) | I (rel.) |
| --- | --- | --- |
| 18.26 | 4.858 | 76 |
| 22.93 | 3.879 | 22 |
| 23.50 | 3.785 | 100 |
| 24.47 | 3.637 | 17 |
| 27.08 | 3.293 | 49 |
| 32.65 | 2.743 | 45 |
| 34.59 | 2.593 | 56 |
| 37.66 | 2.389 | 30 |
| 40.62 | 2.221 | 41 |
| 46.84 | 1.940 | 26 |
| 48.07 | 1.893 | 26 |
| 59.52 | 1.553 | 18 |